The following is a theoretical XRD peak list of Ac2CN2O2. It was derived from a structure optimized by DFT (PBE), using Cu Kα (λ = 1.5418 Å).
Neutral-atom scattering factors, no anomalous dispersion.

Peak list (12 most intense, 2θ from 5° to 70°, by angle)
hkl 0 0 1, 2θ = 10.31°, I = 32; hkl 0 0 2, 2θ = 20.70°, I = 20; hkl 1 0 0, 2θ = 24.63°, I = 18; hkl 0 1 1, 2θ = 26.77°, I = 100; hkl 0 0 3, 2θ = 31.27°, I = 15; hkl 1 0 2, 2θ = 32.39°, I = 41; hkl 0 1 3, 2θ = 40.21°, I = 21; hkl 1 1 0, 2θ = 43.37°, I = 28; hkl 0 1 4, 2θ = 49.40°, I = 24; hkl 2 0 1, 2θ = 51.70°, I = 17; hkl 1 1 3, 2θ = 54.43°, I = 20; hkl 1 2 1, 2θ = 69.71°, I = 14

a b c (Å): 4.1731 4.1731 8.5815
angles (deg): 90.00 90.00 120.00
Fractional positions:
Ac 0.3333 0.6667 0.3144
Ac 0.6667 0.3333 0.6856
C 0.0000 0.0000 0.0000
N 0.0000 0.0000 0.1444
N 0.0000 0.0000 0.8556
O 0.3333 0.6667 0.6038
O 0.6667 0.3333 0.3962